No. 1
Tl2Pt3S4: calculated powder X-ray diffraction pattern (Cu Kα X-rays), based on a crystal structure in OQMD, relaxed with GGA-PBE.
Lines closer than 0.1° are merged.

Crystal structure
a = 8.217 Å, b = 6.818 Å, c = 6.417 Å
α = 76.69°, β = 53.85°, γ = 49.46°
Element x y z (fractional)
Tl (0.141, 0.141, 0.859)
Tl (0.859, 0.859, 0.141)
Pt (0.000, 0.000, 0.500)
Pt (0.500, 0.500, 0.000)
Pt (0.500, 0.500, 0.500)
S (0.212, 0.542, 0.458)
S (0.458, 0.788, 0.212)
S (0.542, 0.212, 0.788)
S (0.788, 0.458, 0.542)

Peak list (10 most intense, 2θ = 10–90°, sorted by position)
d = 6.034 Å, I 82; d = 4.096 Å, I 21; d = 3.250 Å, I 76; d = 2.789 Å, I 42; d = 2.758 Å, I 83; d = 2.654 Å, I 22; d = 2.508 Å, I 100; d = 2.187 Å, I 25; d = 1.625 Å, I 28; d = 1.604 Å, I 24


No. 2
Tm2Tl: calculated powder X-ray diffraction pattern (Cu Kα X-rays), based on a crystal structure in OQMD, relaxed with GGA-PBE.
Lines closer than 0.1° are merged.

Crystal structure
a = 5.325 Å, b = 5.325 Å, c = 6.599 Å
α = 90.00°, β = 90.00°, γ = 120.00°
Element x y z (fractional)
Tm (0.000, 0.000, 0.000)
Tm (0.000, 0.000, 0.500)
Tm (0.333, 0.667, 0.250)
Tm (0.667, 0.333, 0.750)
Tl (0.333, 0.667, 0.750)
Tl (0.667, 0.333, 0.250)

Peak list (10 most intense, 2θ = 10–90°, sorted by position)
d = 2.683 Å, I 88; d = 2.663 Å, I 100; d = 2.072 Å, I 14; d = 1.890 Å, I 32; d = 1.541 Å, I 33; d = 1.537 Å, I 19; d = 1.402 Å, I 28; d = 1.331 Å, I 12; d = 1.193 Å, I 14; d = 1.125 Å, I 14


No. 3
LuAuSeO: calculated powder X-ray diffraction pattern (Cu Kα X-rays), based on a crystal structure in OQMD, relaxed with GGA-PBE.
Lines closer than 0.1° are merged.

Crystal structure
a = 5.481 Å, b = 5.481 Å, c = 9.490 Å
α = 90.00°, β = 90.00°, γ = 90.00°
Element x y z (fractional)
Lu (0.250, 0.250, 0.112)
Lu (0.250, 0.750, 0.888)
Lu (0.750, 0.250, 0.888)
Lu (0.750, 0.750, 0.112)
Au (0.000, 0.000, 0.500)
Au (0.000, 0.500, 0.500)
Au (0.500, 0.000, 0.500)
Au (0.500, 0.500, 0.500)
Se (0.249, 0.249, 0.722)
Se (0.249, 0.751, 0.278)
Se (0.751, 0.249, 0.278)
Se (0.751, 0.751, 0.722)
O (0.000, 0.000, 0.000)
O (0.000, 0.500, 0.000)
O (0.500, 0.000, 0.000)
O (0.500, 0.500, 0.000)

Peak list (10 most intense, 2θ = 10–90°, sorted by position)
d = 4.745 Å, I 34; d = 3.002 Å, I 62; d = 2.633 Å, I 100; d = 2.451 Å, I 43; d = 2.373 Å, I 59; d = 1.938 Å, I 50; d = 1.794 Å, I 46; d = 1.370 Å, I 33; d = 1.356 Å, I 25; d = 1.215 Å, I 28


No. 4
Nb2Bi2PbO9: calculated powder X-ray diffraction pattern (Cu Kα X-rays), based on a crystal structure in OQMD, relaxed with GGA-PBE.
Lines closer than 0.1° are merged.

Crystal structure
a = 12.833 Å, b = 12.833 Å, c = 5.547 Å
α = 90.00°, β = 90.00°, γ = 24.94°
Element x y z (fractional)
Nb (0.160, 0.665, 0.500)
Nb (0.335, 0.840, 0.500)
Nb (0.665, 0.160, 0.000)
Nb (0.840, 0.335, 0.000)
Bi (0.076, 0.524, 0.955)
Bi (0.476, 0.924, 0.955)
Bi (0.524, 0.076, 0.455)
Bi (0.924, 0.476, 0.455)
Pb (0.247, 0.753, 0.980)
Pb (0.753, 0.247, 0.480)
O (0.039, 0.140, 0.320)
O (0.140, 0.039, 0.820)
O (0.151, 0.527, 0.525)
O (0.200, 0.800, 0.533)
O (0.241, 0.255, 0.228)
O (0.255, 0.241, 0.728)
O (0.391, 0.464, 0.237)
O (0.464, 0.391, 0.737)
O (0.473, 0.849, 0.525)
O (0.527, 0.151, 0.025)
O (0.536, 0.609, 0.237)
O (0.609, 0.536, 0.737)
O (0.745, 0.759, 0.228)
O (0.759, 0.745, 0.728)
O (0.800, 0.200, 0.033)
O (0.849, 0.473, 0.025)
O (0.860, 0.961, 0.320)
O (0.961, 0.860, 0.820)

Peak list (10 most intense, 2θ = 10–90°, sorted by position)
d = 6.265 Å, I 11; d = 3.088 Å, I 100; d = 2.772 Å, I 37; d = 2.506 Å, I 14; d = 1.960 Å, I 18; d = 1.859 Å, I 24; d = 1.655 Å, I 32; d = 1.544 Å, I 11; d = 1.537 Å, I 11; d = 1.210 Å, I 9


No. 5
Y2Ho2CI2Cl3: calculated powder X-ray diffraction pattern (Cu Kα X-rays), based on a crystal structure in OQMD, relaxed with GGA-PBE.
Lines closer than 0.1° are merged.

Crystal structure
a = 9.349 Å, b = 9.349 Å, c = 7.927 Å
α = 99.88°, β = 99.88°, γ = 23.59°
Element x y z (fractional)
Y (0.003, 0.003, 0.293)
Y (0.997, 0.997, 0.707)
Ho (0.369, 0.369, 0.445)
Ho (0.631, 0.631, 0.555)
C (0.500, 0.500, 0.500)
I (0.167, 0.167, 0.850)
I (0.833, 0.833, 0.150)
Cl (0.161, 0.161, 0.332)
Cl (0.500, 0.500, 0.000)
Cl (0.839, 0.839, 0.668)

Peak list (10 most intense, 2θ = 10–90°, sorted by position)
d = 7.804 Å, I 40; d = 6.489 Å, I 43; d = 4.236 Å, I 31; d = 3.085 Å, I 22; d = 3.003 Å, I 35; d = 2.886 Å, I 41; d = 2.750 Å, I 100; d = 2.622 Å, I 27; d = 2.391 Å, I 22; d = 2.000 Å, I 22


No. 6
Pr12InPt7: calculated powder X-ray diffraction pattern (Cu Kα X-rays), based on a crystal structure in OQMD, relaxed with GGA-PBE.
Lines closer than 0.1° are merged.

Crystal structure
a = 11.311 Å, b = 11.311 Å, c = 11.311 Å
α = 114.91°, β = 114.91°, γ = 99.07°
Element x y z (fractional)
Pr (0.065, 0.930, 0.280)
Pr (0.070, 0.350, 0.135)
Pr (0.136, 0.636, 0.500)
Pr (0.150, 0.430, 0.865)
Pr (0.175, 0.325, 0.500)
Pr (0.215, 0.935, 0.865)
Pr (0.285, 0.150, 0.720)
Pr (0.325, 0.825, 0.150)
Pr (0.350, 0.215, 0.280)
Pr (0.364, 0.864, 0.500)
Pr (0.430, 0.565, 0.280)
Pr (0.435, 0.715, 0.865)
Pr (0.565, 0.285, 0.135)
Pr (0.570, 0.435, 0.720)
Pr (0.636, 0.136, 0.500)
Pr (0.650, 0.785, 0.720)
Pr (0.675, 0.175, 0.850)
Pr (0.715, 0.850, 0.280)
Pr (0.785, 0.065, 0.135)
Pr (0.825, 0.675, 0.500)
Pr (0.850, 0.570, 0.135)
Pr (0.864, 0.364, 0.500)
Pr (0.930, 0.650, 0.865)
Pr (0.935, 0.070, 0.720)
In (0.000, 0.000, 0.000)
In (0.500, 0.500, 0.000)
Pt (0.021, 0.870, 0.500)
Pt (0.126, 0.626, 0.751)
Pt (0.130, 0.630, 0.151)
Pt (0.250, 0.250, 0.000)
Pt (0.370, 0.521, 0.500)
Pt (0.374, 0.126, 0.500)
Pt (0.479, 0.979, 0.849)
Pt (0.521, 0.021, 0.151)
Pt (0.626, 0.874, 0.500)
Pt (0.630, 0.479, 0.500)
Pt (0.750, 0.750, 0.000)
Pt (0.870, 0.370, 0.849)
Pt (0.874, 0.374, 0.249)
Pt (0.979, 0.130, 0.500)

Peak list (10 most intense, 2θ = 10–90°, sorted by position)
d = 2.894 Å, I 66; d = 2.869 Å, I 35; d = 2.792 Å, I 19; d = 2.779 Å, I 40; d = 2.721 Å, I 39; d = 2.656 Å, I 100; d = 2.584 Å, I 17; d = 2.528 Å, I 53; d = 2.447 Å, I 19; d = 1.372 Å, I 17


No. 7
ErTmPbC: calculated powder X-ray diffraction pattern (Cu Kα X-rays), based on a crystal structure in OQMD, relaxed with GGA-PBE.
Lines closer than 0.1° are merged.

Crystal structure
a = 3.591 Å, b = 3.591 Å, c = 15.880 Å
α = 90.00°, β = 90.00°, γ = 120.00°
Element x y z (fractional)
Er (0.333, 0.667, 0.082)
Er (0.667, 0.333, 0.918)
Tm (0.333, 0.667, 0.418)
Tm (0.667, 0.333, 0.582)
Pb (0.333, 0.667, 0.750)
Pb (0.667, 0.333, 0.250)
C (0.000, 0.000, 0.000)
C (0.000, 0.000, 0.500)

Peak list (10 most intense, 2θ = 10–90°, sorted by position)
d = 3.110 Å, I 23; d = 2.681 Å, I 100; d = 2.647 Å, I 21; d = 2.016 Å, I 16; d = 1.795 Å, I 21; d = 1.535 Å, I 19; d = 1.492 Å, I 17; d = 1.486 Å, I 22; d = 1.167 Å, I 8; d = 1.147 Å, I 15


No. 8
HoErAu2O4: calculated powder X-ray diffraction pattern (Cu Kα X-rays), based on a crystal structure in OQMD, relaxed with GGA-PBE.
Lines closer than 0.1° are merged.

Crystal structure
a = 3.510 Å, b = 3.510 Å, c = 12.135 Å
α = 90.00°, β = 90.00°, γ = 120.00°
Element x y z (fractional)
Ho (0.000, 0.000, 0.000)
Er (0.000, 0.000, 0.500)
Au (0.333, 0.667, 0.251)
Au (0.667, 0.333, 0.749)
O (0.333, 0.667, 0.082)
O (0.333, 0.667, 0.419)
O (0.667, 0.333, 0.581)
O (0.667, 0.333, 0.918)

Peak list (10 most intense, 2θ = 10–90°, sorted by position)
d = 3.034 Å, I 44; d = 2.949 Å, I 67; d = 2.718 Å, I 100; d = 2.430 Å, I 23; d = 1.897 Å, I 19; d = 1.755 Å, I 33; d = 1.684 Å, I 29; d = 1.519 Å, I 33; d = 1.474 Å, I 16; d = 1.129 Å, I 14


No. 9
NpSe2BrCl: calculated powder X-ray diffraction pattern (Cu Kα X-rays), based on a crystal structure in OQMD, relaxed with GGA-PBE.
Lines closer than 0.1° are merged.

Crystal structure
a = 7.076 Å, b = 7.292 Å, c = 7.773 Å
α = 67.97°, β = 69.43°, γ = 62.03°
Element x y z (fractional)
Np (0.146, 0.199, 0.499)
Np (0.854, 0.801, 0.501)
Se (0.072, 0.590, 0.189)
Se (0.248, 0.463, 0.627)
Se (0.752, 0.537, 0.373)
Se (0.928, 0.410, 0.811)
Br (0.421, 0.839, 0.742)
Br (0.579, 0.161, 0.258)
Cl (0.161, 0.976, 0.279)
Cl (0.839, 0.024, 0.721)

Peak list (10 most intense, 2θ = 10–90°, sorted by position)
d = 7.038 Å, I 100; d = 6.104 Å, I 27; d = 5.700 Å, I 29; d = 5.575 Å, I 24; d = 3.247 Å, I 37; d = 3.109 Å, I 41; d = 2.603 Å, I 14; d = 2.523 Å, I 21; d = 2.146 Å, I 14; d = 1.859 Å, I 16


No. 10
BaLiAgGeS4: calculated powder X-ray diffraction pattern (Cu Kα X-rays), based on a crystal structure in OQMD, relaxed with GGA-PBE.
Lines closer than 0.1° are merged.

Crystal structure
a = 6.299 Å, b = 6.299 Å, c = 6.299 Å
α = 115.06°, β = 115.06°, γ = 98.80°
Element x y z (fractional)
Ba (0.000, 0.000, 0.000)
Li (0.250, 0.750, 0.500)
Ag (0.750, 0.250, 0.500)
Ge (0.500, 0.500, 0.000)
S (0.158, 0.144, 0.620)
S (0.461, 0.842, 0.986)
S (0.525, 0.539, 0.380)
S (0.856, 0.475, 0.014)

Peak list (10 most intense, 2θ = 10–90°, sorted by position)
d = 5.217 Å, I 35; d = 4.783 Å, I 15; d = 3.382 Å, I 28; d = 3.112 Å, I 100; d = 2.838 Å, I 33; d = 2.534 Å, I 11; d = 2.391 Å, I 33; d = 1.896 Å, I 50; d = 1.753 Å, I 24; d = 1.217 Å, I 11


No. 11
CdReO3: calculated powder X-ray diffraction pattern (Cu Kα X-rays), based on a crystal structure in OQMD, relaxed with GGA-PBE.
Lines closer than 0.1° are merged.

Crystal structure
a = 5.873 Å, b = 5.873 Å, c = 5.873 Å
α = 55.14°, β = 55.14°, γ = 55.14°
Element x y z (fractional)
Cd (0.134, 0.134, 0.134)
Cd (0.866, 0.866, 0.866)
Re (0.342, 0.342, 0.342)
Re (0.658, 0.658, 0.658)
O (0.059, 0.455, 0.709)
O (0.291, 0.941, 0.545)
O (0.455, 0.709, 0.059)
O (0.545, 0.291, 0.941)
O (0.709, 0.059, 0.455)
O (0.941, 0.545, 0.291)

Peak list (10 most intense, 2θ = 10–90°, sorted by position)
d = 4.964 Å, I 18; d = 3.979 Å, I 31; d = 2.920 Å, I 86; d = 2.718 Å, I 100; d = 2.384 Å, I 16; d = 1.990 Å, I 32; d = 1.833 Å, I 45; d = 1.605 Å, I 30; d = 1.569 Å, I 27; d = 1.413 Å, I 15


No. 12
TbNpHg: calculated powder X-ray diffraction pattern (Cu Kα X-rays), based on a crystal structure in OQMD, relaxed with GGA-PBE.
Lines closer than 0.1° are merged.

Crystal structure
a = 5.105 Å, b = 5.105 Å, c = 5.105 Å
α = 60.00°, β = 60.00°, γ = 60.00°
Element x y z (fractional)
Tb (0.000, 0.000, 0.000)
Np (0.500, 0.500, 0.500)
Hg (0.750, 0.750, 0.750)

Peak list (10 most intense, 2θ = 10–90°, sorted by position)
d = 4.169 Å, I 30; d = 3.610 Å, I 13; d = 2.553 Å, I 100; d = 2.177 Å, I 17; d = 1.805 Å, I 18; d = 1.656 Å, I 7; d = 1.474 Å, I 38; d = 1.276 Å, I 12; d = 1.220 Å, I 6; d = 1.142 Å, I 17


No. 13
Nb3P11: calculated powder X-ray diffraction pattern (Cu Kα X-rays), based on a crystal structure in OQMD, relaxed with GGA-PBE.
Lines closer than 0.1° are merged.

Crystal structure
a = 6.774 Å, b = 6.774 Å, c = 5.991 Å
α = 100.23°, β = 100.23°, γ = 61.58°
Element x y z (fractional)
Nb (0.000, 0.000, 0.000)
Nb (0.357, 0.357, 0.064)
Nb (0.606, 0.606, 0.224)
P (0.128, 0.695, 0.638)
P (0.197, 0.197, 0.308)
P (0.207, 0.721, 0.298)
P (0.407, 0.960, 0.877)
P (0.481, 0.944, 0.516)
P (0.482, 0.482, 0.770)
P (0.695, 0.128, 0.638)
P (0.721, 0.207, 0.298)
P (0.775, 0.775, 0.012)
P (0.944, 0.481, 0.516)
P (0.960, 0.407, 0.877)

Peak list (10 most intense, 2θ = 10–90°, sorted by position)
d = 5.862 Å, I 67; d = 4.410 Å, I 24; d = 3.330 Å, I 27; d = 2.985 Å, I 100; d = 2.857 Å, I 25; d = 2.693 Å, I 53; d = 2.536 Å, I 32; d = 2.203 Å, I 46; d = 2.175 Å, I 47; d = 1.734 Å, I 28